[1]
Theoretical powder diffractogram of Y6Tm8Tl for Cu Ka, from DFT lattice parameters and positions (GGA-PBE).

The 10 most intense peaks (5° ≤ 2θ ≤ 70°), sorted by position:
two_theta, intensity
17.4, 19
23.6, 29
26.2, 41
29.1, 19
32.8, 59
33.3, 100
33.9, 97
48.3, 19
52.2, 19
60.3, 18

Structure:
```
15
Lattice="9.1501 0.0000 0.0000 -4.5750 7.9242 0.0000 0.0000 0.0000 6.6663" Properties=species:S:1:pos:R:3 pbc="T T T"
Y -1.0420 3.1851 2.6720
Y -1.2956 7.2341 2.6720
Y 2.2374 2.4950 3.9943
Y 2.3377 5.4292 2.6720
Y 5.8707 0.6901 3.9943
Y 5.6171 4.7391 3.9943
Tm -2.9610 5.4114 0.6887
Tm 1.3691 2.6542 0.6887
Tm 0.0000 5.2828 5.4723
Tm 2.9832 0.1414 5.9776
Tm 1.5919 7.7828 0.6887
Tm 4.5751 2.6414 1.1940
Tm 3.2060 5.2700 5.9776
Tm 7.5360 2.5128 5.9776
Tl 0.0000 0.0000 3.3332
```



[2]
Theoretical powder diffractogram of Dy6CS2 for Cu Ka, from DFT lattice parameters and positions (GGA-PBE).

The 10 most intense peaks (5° ≤ 2θ ≤ 70°), sorted by position:
two_theta, intensity
27.5, 14
28.9, 33
30.8, 45
31.1, 100
40.0, 12
40.3, 20
48.2, 19
52.6, 22
57.2, 16
58.9, 14

Structure:
```
9
Lattice="7.0112 -1.8654 0.0000 7.0112 1.8654 0.0000 -2.3816 0.0000 8.6955" Properties=species:S:1:pos:R:3 pbc="T T T"
Dy -0.3647 0.0000 2.4320
Dy 3.4898 0.0000 3.1288
Dy 2.9399 0.0000 8.5468
Dy 8.7008 0.0000 0.1487
Dy 8.1510 0.0000 5.5667
Dy 12.0054 0.0000 6.2635
C 0.0000 0.0000 0.0000
S 3.0716 0.0000 5.8068
S 8.5691 0.0000 2.8886
```



[3]
Theoretical powder diffractogram of BCl3F6 for Cu Ka, from DFT lattice parameters and positions (GGA-PBE).

The 10 most intense peaks (5° ≤ 2θ ≤ 70°), sorted by position:
two_theta, intensity
18.3, 27
21.3, 56
21.4, 100
26.7, 38
31.6, 30
32.6, 33
32.9, 22
33.9, 37
34.2, 43
36.5, 32

Structure:
```
20
Lattice="4.9490 0.0000 0.0000 0.0000 9.7182 0.0000 -1.6524 0.0000 8.1747" Properties=species:S:1:pos:R:3 pbc="T T T"
B 0.7050 0.0000 0.0222
B 2.5916 4.8591 8.1525
Cl 0.0408 2.8108 3.3084
Cl -0.2419 8.2349 7.5699
Cl 0.8906 2.5228 5.5818
Cl 2.4059 7.3819 2.5930
Cl 3.5385 3.3758 0.6048
Cl 3.2558 7.6699 4.8663
F -0.5293 6.3897 4.6314
F 0.5923 5.0834 0.1182
F -0.4185 1.3951 5.9620
F 1.4560 0.8597 0.6938
F 1.1000 8.5014 2.9014
F 1.2049 4.0814 3.0335
F 2.0916 8.9404 5.1412
F 2.1966 3.6423 5.2733
F 1.8406 5.7188 7.4809
F 3.7150 6.2541 2.2127
F 2.7042 0.2243 8.0565
F 3.8259 1.5306 3.5433
```